(1)
The following is a computed powder X-ray diffraction pattern of Li2Zn2InGaAu2. It was derived from DFT lattice parameters and positions (PBE), using Cu Kα (λ = 1.5418 Å).
Intensities are scaled so that the largest is 100.

Peak list (10 most intense, 10° ≤ 2θ ≤ 90°, sorted by position)
2theta  I/Imax
24.07  67
31.23  2
34.29  1
39.81  100
47.06  34
57.57  17
63.30  14
72.27  33
77.44  10
85.83  10

Cell and atoms:
Cell: 4.527 4.527 6.409 Å, 90.00 90.00 90.00°
Atoms (fractional coordinates):
Li (0.000, 0.500, 0.233)
Li (0.500, 0.000, 0.767)
Zn (0.000, 0.000, 0.000)
Zn (0.500, 0.500, 0.500)
In (0.000, 0.000, 0.500)
Ga (0.500, 0.500, 0.000)
Au (0.000, 0.500, 0.766)
Au (0.500, 0.000, 0.234)

(2)
The following is a computed powder X-ray diffraction pattern of NbPPbO5. It was derived from DFT lattice parameters and positions (PBE), using Cu Kα (λ = 1.5418 Å).
Intensities are scaled so that the largest is 100.

Peak list (10 most intense, 10° ≤ 2θ ≤ 90°, sorted by position)
2theta  I/Imax
14.61  21
23.03  29
24.84  21
25.43  18
27.57  50
28.50  100
30.65  33
35.10  18
41.99  19
47.94  17

Cell and atoms:
Cell: 6.000 6.482 6.628 Å, 103.24 103.33 110.79°
Atoms (fractional coordinates):
Nb (0.089, 0.037, 0.268)
Nb (0.911, 0.963, 0.732)
P (0.316, 0.630, 0.348)
P (0.684, 0.370, 0.652)
Pb (0.330, 0.672, 0.861)
Pb (0.670, 0.328, 0.139)
O (0.125, 0.717, 0.238)
O (0.157, 0.399, 0.381)
O (0.218, 0.052, 0.976)
O (0.468, 0.591, 0.198)
O (0.498, 0.812, 0.578)
O (0.502, 0.188, 0.422)
O (0.532, 0.409, 0.802)
O (0.782, 0.948, 0.024)
O (0.843, 0.601, 0.619)
O (0.875, 0.283, 0.762)

(3)
The following is a computed powder X-ray diffraction pattern of LiPrS4. It was derived from DFT lattice parameters and positions (PBE), using Cu Kα (λ = 1.5418 Å).
Intensities are scaled so that the largest is 100.

Peak list (10 most intense, 10° ≤ 2θ ≤ 90°, sorted by position)
2theta  I/Imax
12.17  51
23.39  53
24.46  89
30.92  70
37.07  40
40.47  100
42.40  16
47.86  47
51.78  18
73.58  22

Cell and atoms:
Cell: 7.712 7.712 7.712 Å, 33.61 33.61 33.61°
Atoms (fractional coordinates):
Li (0.000, 0.000, 0.000)
Pr (0.500, 0.500, 0.500)
S (0.109, 0.109, 0.109)
S (0.350, 0.350, 0.350)
S (0.650, 0.650, 0.650)
S (0.891, 0.891, 0.891)

What did the third record say?
The following is a computed powder X-ray diffraction pattern of LiPrS4. It was derived from DFT lattice parameters and positions (PBE), using Cu Kα (λ = 1.5418 Å).
Intensities are scaled so that the largest is 100.

Peak list (10 most intense, 10° ≤ 2θ ≤ 90°, sorted by position)
2theta  I/Imax
12.17  51
23.39  53
24.46  89
30.92  70
37.07  40
40.47  100
42.40  16
47.86  47
51.78  18
73.58  22

Cell and atoms:
Cell: 7.712 7.712 7.712 Å, 33.61 33.61 33.61°
Atoms (fractional coordinates):
Li (0.000, 0.000, 0.000)
Pr (0.500, 0.500, 0.500)
S (0.109, 0.109, 0.109)
S (0.350, 0.350, 0.350)
S (0.650, 0.650, 0.650)
S (0.891, 0.891, 0.891)